Entry 1:
Theoretical X-ray diffraction stick pattern of Cu2As3 for Cu Kα X-rays, from a cell relaxed with GGA-PBE.
Intensities are scaled so that the largest is 100.

The 8 most intense peaks (2θ = 10–90°), sorted by position:
2theta, I (rel.)
34.8, 100
40.2, 1
50.0, 69
62.4, 23
72.6, 1
73.5, 10
79.0, 1
83.9, 28

Atomic structure:
a b c (Å): 3.6477 3.6477 22.3032
angles (deg): 90.00 90.00 120.00
Space group R-3m (No. 166, hexagonal axes)
Unique sites:
Cu1 0.0000 0.0000 0.1047 (multiplicity 6)
As1 0.0000 0.0000 0.2975 (multiplicity 6)
As2 0.0000 0.0000 0.5000 (multiplicity 3)


Entry 2:
Theoretical X-ray diffraction stick pattern of Pa2Co3CuH12 for Cu Kα X-rays, from a cell relaxed with GGA-PBE.
Intensities are scaled so that the largest is 100.

The 8 most intense peaks (2θ = 10–90°), sorted by position:
2theta, I (rel.)
18.4, 79
29.8, 100
32.3, 50
35.2, 74
36.3, 43
37.2, 42
38.5, 84
58.8, 49

Atomic structure:
a b c (Å): 6.0040 6.0040 13.0779
angles (deg): 90.00 90.00 120.00
Space group R-3m (No. 166, hexagonal axes)
Unique sites:
Pa1 0.0000 0.0000 0.1001 (multiplicity 6)
Co1 0.0000 0.5000 0.0000 (multiplicity 9)
Cu1 0.0000 0.0000 0.5000 (multiplicity 3)
H1 0.0050 0.5025 0.1191 (multiplicity 18)
H2 0.0458 0.5229 0.3403 (multiplicity 18)


Entry 3:
Theoretical X-ray diffraction stick pattern of PrScBeAl for Cu Kα X-rays, from a cell relaxed with GGA-PBE.
Intensities are scaled so that the largest is 100.

The 8 most intense peaks (2θ = 10–90°), sorted by position:
2theta, I (rel.)
22.0, 48
25.5, 62
36.4, 100
42.9, 26
44.9, 18
52.4, 17
59.1, 23
65.4, 34

Atomic structure:
a b c (Å): 6.9883 6.9883 6.9883
angles (deg): 90.00 90.00 90.00
Space group F-43m (No. 216)
Unique sites:
Pr1 0.0000 0.0000 0.0000 (multiplicity 4)
Sc1 0.0000 0.0000 0.5000 (multiplicity 4)
Be1 0.2500 0.2500 0.2500 (multiplicity 4)
Al1 0.2500 0.2500 0.7500 (multiplicity 4)


Entry 4:
Theoretical X-ray diffraction stick pattern of Hf6HN2 for Cu Kα X-rays, from a cell relaxed with GGA-PBE.
Intensities are scaled so that the largest is 100.

The 8 most intense peaks (2θ = 10–90°), sorted by position:
2theta, I (rel.)
34.1, 100
34.2, 99
38.7, 38
39.9, 36
40.2, 35
56.8, 25
57.0, 25
67.1, 13

Atomic structure:
a b c (Å): 10.0243 13.9695 4.5142
angles (deg): 90.00 116.50 90.00
Space group C2/c (No. 15)
Unique sites:
Hf1 0.1223 0.0799 0.1192 (multiplicity 8)
Hf2 0.1229 0.4120 0.1305 (multiplicity 8)
Hf3 0.1289 0.2432 0.6231 (multiplicity 8)
H1 0.0000 0.3295 0.7500 (multiplicity 4)
N1 0.1258 0.0787 0.6224 (multiplicity 8)


Entry 5:
Theoretical X-ray diffraction stick pattern of Ce3Al6Pt5 for Cu Kα X-rays, from a cell relaxed with GGA-PBE.
Intensities are scaled so that the largest is 100.

The 8 most intense peaks (2θ = 10–90°), sorted by position:
2theta, I (rel.)
23.8, 40
28.1, 47
29.4, 50
30.9, 38
33.6, 39
35.1, 100
35.3, 59
42.1, 53

Atomic structure:
a b c (Å): 4.2937 12.9024 9.4508
angles (deg): 90.00 90.00 90.00
Space group Pmmn (No. 59, origin choice 2)
Unique sites:
Ce1 0.2500 0.0508 0.2460 (multiplicity 4)
Ce2 0.2500 0.7500 0.2573 (multiplicity 2)
Al1 0.2500 0.0699 0.5864 (multiplicity 4)
Al2 0.2500 0.2500 0.0388 (multiplicity 2)
Al3 0.2500 0.2500 0.4210 (multiplicity 2)
Al4 0.2500 0.5972 0.9813 (multiplicity 4)
Pt1 0.2500 0.0936 0.8666 (multiplicity 4)
Pt2 0.2500 0.6333 0.5380 (multiplicity 4)
Pt3 0.2500 0.7500 0.8003 (multiplicity 2)


Entry 6:
Theoretical X-ray diffraction stick pattern of La2HoAgSe5 for Cu Kα X-rays, from a cell relaxed with GGA-PBE.
Intensities are scaled so that the largest is 100.

The 8 most intense peaks (2θ = 10–90°), sorted by position:
2theta, I (rel.)
23.5, 22
26.0, 31
30.5, 100
31.2, 53
36.1, 62
39.6, 20
43.1, 40
54.1, 22

Atomic structure:
a b c (Å): 4.2019 17.6659 12.5945
angles (deg): 90.00 90.00 90.00
Space group Cmc2_1 (No. 36)
Unique sites:
La1 0.0000 0.1105 0.0000 (multiplicity 4)
La2 0.0000 0.1249 0.6220 (multiplicity 4)
Ho1 0.0000 0.1956 0.3239 (multiplicity 4)
Ag1 0.0000 0.4435 0.7718 (multiplicity 4)
Se1 0.0000 0.0463 0.3905 (multiplicity 4)
Se2 0.0000 0.2873 0.9802 (multiplicity 4)
Se3 0.0000 0.3052 0.6632 (multiplicity 4)
Se4 0.0000 0.3579 0.3154 (multiplicity 4)
Se5 0.0000 0.4973 0.0851 (multiplicity 4)